# 1
The following is a simulated powder XRD pattern of FeCu3Pt6. It was derived from a crystal structure in Alexandria, relaxed with GGA-PBE, using Cu Kα, 1.54184 Å.

Atomic structure:
abc: 7.201 4.495 9.501
angles: 90.00 110.42 90.00
Atoms (fractional coordinates):
Fe1 0.111 0.250 0.072
Fe2 0.889 0.750 0.928
Cu1 0.099 0.750 0.727
Cu2 0.296 0.750 0.531
Cu3 0.310 0.250 0.868
Cu4 0.690 0.750 0.132
Cu5 0.704 0.250 0.469
Cu6 0.901 0.250 0.273
Pt1 0.079 0.750 0.221
Pt2 0.105 0.250 0.570
Pt3 0.278 0.750 0.018
Pt4 0.297 0.250 0.366
Pt5 0.493 0.750 0.329
Pt6 0.499 0.750 0.834
Pt7 0.501 0.250 0.166
Pt8 0.507 0.250 0.671
Pt9 0.703 0.750 0.634
Pt10 0.722 0.250 0.982
Pt11 0.895 0.750 0.430
Pt12 0.921 0.250 0.779

Principal peaks in the range 5° ≤ 2θ ≤ 70°, in order of rising 2θ:
| two_theta | intensity |
| --- | --- |
| 27.59 | 42 |
| 32.49 | 16 |
| 37.89 | 16 |
| 38.70 | 33 |
| 40.12 | 75 |
| 43.08 | 100 |
| 43.19 | 100 |
| 43.81 | 67 |
| 56.97 | 22 |
| 68.04 | 16 |

---

# 2
The following is a simulated powder XRD pattern of Li3Zn2Cd3In. It was derived from a crystal structure in Alexandria, relaxed with GGA-PBE, using Cu Kα, 1.54184 Å.

Atomic structure:
abc: 7.985 7.985 3.014
angles: 90.00 90.00 120.00
Atoms (fractional coordinates):
Li1 0.000 0.693 0.000
Li2 0.307 0.307 0.000
Li3 0.693 0.000 0.000
Zn1 0.333 0.667 0.000
Zn2 0.667 0.333 0.000
Cd1 0.000 0.372 0.500
Cd2 0.372 0.000 0.500
Cd3 0.628 0.628 0.500
In1 0.000 0.000 0.500

Principal peaks in the range 5° ≤ 2θ ≤ 70°, in order of rising 2θ:
| two_theta | intensity |
| --- | --- |
| 22.27 | 100 |
| 25.77 | 19 |
| 29.64 | 19 |
| 32.41 | 20 |
| 37.39 | 79 |
| 39.08 | 92 |
| 39.67 | 49 |
| 45.96 | 34 |
| 49.80 | 17 |
| 66.62 | 28 |

---

# 3
The following is a simulated powder XRD pattern of Cs2VBr2Cl4. It was derived from a crystal structure in Alexandria, relaxed with GGA-PBE, using Cu Kα, 1.54184 Å.

Atomic structure:
abc: 7.537 7.537 7.537
angles: 119.32 119.32 91.18
Atoms (fractional coordinates):
Cs1 0.250 0.750 0.500
Cs2 0.750 0.250 0.500
V1 0.000 0.000 0.000
Br1 0.239 0.239 0.000
Br2 0.761 0.761 0.000
Cl1 0.216 0.216 0.432
Cl2 0.216 0.784 0.000
Cl3 0.784 0.216 0.000
Cl4 0.784 0.784 0.568

Principal peaks in the range 5° ≤ 2θ ≤ 70°, in order of rising 2θ:
| two_theta | intensity |
| --- | --- |
| 14.35 | 20 |
| 16.81 | 17 |
| 23.37 | 38 |
| 23.61 | 16 |
| 28.93 | 100 |
| 33.28 | 47 |
| 34.00 | 24 |
| 41.66 | 17 |
| 48.32 | 31 |
| 56.83 | 23 |

---

# 4
The following is a simulated powder XRD pattern of Na2BSO4F3. It was derived from a crystal structure in Alexandria, relaxed with GGA-PBE, using Cu Kα, 1.54184 Å.

Atomic structure:
abc: 6.699 6.710 6.745
angles: 83.23 67.96 82.74
Atoms (fractional coordinates):
Na1 0.224 0.347 0.386
Na2 0.241 0.920 0.770
Na3 0.759 0.080 0.230
Na4 0.776 0.653 0.614
B1 0.350 0.382 0.850
B2 0.650 0.618 0.150
S1 0.262 0.852 0.280
S2 0.738 0.148 0.720
O1 0.139 0.949 0.150
O2 0.147 0.698 0.442
O3 0.338 0.997 0.378
O4 0.467 0.744 0.112
O5 0.533 0.256 0.888
O6 0.662 0.003 0.622
O7 0.853 0.302 0.558
O8 0.861 0.051 0.850
F1 0.192 0.411 0.053
F2 0.268 0.284 0.724
F3 0.415 0.573 0.742
F4 0.585 0.427 0.258
F5 0.732 0.716 0.276
F6 0.808 0.589 0.947

Principal peaks in the range 5° ≤ 2θ ≤ 70°, in order of rising 2θ:
| two_theta | intensity |
| --- | --- |
| 16.08 | 38 |
| 18.75 | 34 |
| 20.28 | 43 |
| 26.92 | 46 |
| 28.52 | 39 |
| 28.64 | 39 |
| 28.87 | 100 |
| 29.38 | 100 |
| 31.72 | 64 |
| 31.95 | 31 |

---

# 5
The following is a simulated powder XRD pattern of La2PaAs3. It was derived from a crystal structure in Alexandria, relaxed with GGA-PBE, using Cu Kα, 1.54184 Å.

Atomic structure:
abc: 14.130 13.472 7.397
angles: 79.43 69.60 30.97
Atoms (fractional coordinates):
La1 0.043 0.043 0.207
La2 0.123 0.123 0.627
La3 0.207 0.207 0.043
La4 0.373 0.373 0.877
La5 0.627 0.627 0.123
La6 0.793 0.793 0.957
La7 0.877 0.877 0.373
La8 0.957 0.957 0.793
Pa1 0.291 0.291 0.459
Pa2 0.459 0.459 0.291
Pa3 0.541 0.541 0.709
Pa4 0.709 0.709 0.541
As1 0.038 0.539 0.229
As2 0.143 0.607 0.607
As3 0.229 0.694 0.038
As4 0.306 0.771 0.461
As5 0.393 0.857 0.857
As6 0.461 0.962 0.306
As7 0.539 0.038 0.694
As8 0.607 0.143 0.143
As9 0.694 0.229 0.539
As10 0.771 0.306 0.962
As11 0.857 0.393 0.393
As12 0.962 0.461 0.771

Principal peaks in the range 5° ≤ 2θ ≤ 70°, in order of rising 2θ:
| two_theta | intensity |
| --- | --- |
| 13.15 | 7 |
| 25.56 | 26 |
| 29.60 | 100 |
| 42.34 | 62 |
| 42.45 | 12 |
| 50.10 | 9 |
| 52.44 | 13 |
| 52.60 | 13 |
| 61.45 | 12 |
| 69.67 | 22 |

---

# 6
The following is a simulated powder XRD pattern of SrZnAg2Cl6. It was derived from a crystal structure in Alexandria, relaxed with GGA-PBE, using Cu Kα, 1.54184 Å.

Atomic structure:
abc: 6.852 6.957 12.144
angles: 90.00 121.65 90.00
Atoms (fractional coordinates):
Sr1 0.000 0.000 0.000
Sr2 0.000 0.500 0.500
Zn1 0.500 0.000 0.500
Zn2 0.500 0.500 0.000
Ag1 0.251 0.051 0.750
Ag2 0.251 0.449 0.250
Ag3 0.749 0.551 0.750
Ag4 0.749 0.949 0.250
Cl1 0.142 0.096 0.269
Cl2 0.142 0.404 0.769
Cl3 0.259 0.650 0.065
Cl4 0.259 0.850 0.565
Cl5 0.437 0.192 0.079
Cl6 0.437 0.308 0.579
Cl7 0.563 0.692 0.421
Cl8 0.563 0.808 0.921
Cl9 0.741 0.150 0.435
Cl10 0.741 0.350 0.935
Cl11 0.858 0.596 0.231
Cl12 0.858 0.904 0.731

Principal peaks in the range 5° ≤ 2θ ≤ 70°, in order of rising 2θ:
| two_theta | intensity |
| --- | --- |
| 24.67 | 78 |
| 25.54 | 100 |
| 26.04 | 33 |
| 34.71 | 28 |
| 36.84 | 37 |
| 42.19 | 18 |
| 42.86 | 17 |
| 43.63 | 25 |
| 44.60 | 45 |
| 46.11 | 34 |

---

# 7
The following is a simulated powder XRD pattern of Pa7GaTc3. It was derived from a crystal structure in Alexandria, relaxed with GGA-PBE, using Cu Kα, 1.54184 Å.

Atomic structure:
abc: 7.308 7.308 5.367
angles: 111.46 111.46 82.04
Atoms (fractional coordinates):
Pa1 0.000 0.000 0.000
Pa2 0.100 0.559 0.330
Pa3 0.317 0.317 0.817
Pa4 0.441 0.900 0.670
Pa5 0.559 0.100 0.330
Pa6 0.683 0.683 0.183
Pa7 0.900 0.441 0.670
Ga1 0.000 0.000 0.500
Tc1 0.277 0.723 0.000
Tc2 0.500 0.500 0.500
Tc3 0.723 0.277 0.000

Principal peaks in the range 5° ≤ 2θ ≤ 70°, in order of rising 2θ:
| two_theta | intensity |
| --- | --- |
| 26.56 | 55 |
| 29.30 | 26 |
| 32.46 | 21 |
| 33.39 | 71 |
| 37.55 | 100 |
| 37.66 | 93 |
| 45.01 | 17 |
| 51.08 | 37 |
| 62.45 | 17 |
| 62.55 | 17 |

---

# 8
The following is a simulated powder XRD pattern of Nd5I. It was derived from a crystal structure in Alexandria, relaxed with GGA-PBE, using Cu Kα, 1.54184 Å.

Atomic structure:
abc: 8.326 8.326 4.970
angles: 90.00 90.00 144.40
Atoms (fractional coordinates):
Nd1 0.000 0.000 0.000
Nd2 0.165 0.835 0.500
Nd3 0.333 0.667 0.000
Nd4 0.667 0.333 0.000
Nd5 0.835 0.165 0.500
I1 0.500 0.500 0.500

Principal peaks in the range 5° ≤ 2θ ≤ 70°, in order of rising 2θ:
| two_theta | intensity |
| --- | --- |
| 30.29 | 100 |
| 33.92 | 18 |
| 35.26 | 17 |
| 36.15 | 16 |
| 49.74 | 13 |
| 50.41 | 12 |
| 58.47 | 15 |
| 60.24 | 14 |
| 61.42 | 13 |
| 63.01 | 12 |